Starting from DFT lattice parameters and positions (PBE+U), the powder XRD pattern of Na6V2C4SO16 was calculated for copper Kα.
Kinematic intensities with the Lorentz-polarization factor, no thermal factor.

Crystal structure
Cell: 14.1544 14.1544 14.1544 Å, 90.00 90.00 90.00°
Space group Fd-3 (No. 203, origin choice 2)
Unique sites:
Na: 0.0909 0.3750 0.3750 (multiplicity 48)
V: 0.0000 0.0000 0.5000 (multiplicity 16)
C: 0.0310 0.0310 0.7190 (multiplicity 32)
S: 0.1250 0.1250 0.1250 (multiplicity 8)
O: 0.0195 0.0999 0.7786 (multiplicity 96)
O: 0.0639 0.0639 0.0639 (multiplicity 32)

Top 8 peaks for 2θ = 10–80°, in order of rising 2θ:
(hkl)  2θ/deg  Rel. int.
1 1 1  10.83  18
3 1 1  20.81  87
5 1 1  32.88  100
4 4 0  35.89  71
5 1 3  37.59  21
7 1 1  45.78  21
5 5 5  56.29  32
6 6 2  56.69  18